(1)
Simulated X-ray powder pattern
Compound: Nd2CuPtO5
Radiation: Cu Kα (weighted mean of Kα1 and Kα2)
Structure: the PBE geometry in Alexandria
No peak broadening, texture or thermal motion is included.

Crystal structure
Cell: 6.8460 6.8460 5.7400 Å, 90.00 90.00 90.00°
Fractional positions:
Nd: 0.1762 0.3238 0.0000
Nd: 0.3238 0.8238 0.0000
Nd: 0.6762 0.1762 0.0000
Nd: 0.8238 0.6762 0.0000
Cu: 0.0000 0.0000 0.5000
Cu: 0.5000 0.5000 0.5000
Pt: 0.0000 0.5000 0.5000
Pt: 0.5000 0.0000 0.5000
O: 0.0000 0.0000 0.0000
O: 0.1362 0.6362 0.2460
O: 0.1362 0.6362 0.7540
O: 0.3638 0.1362 0.2460
O: 0.3638 0.1362 0.7540
O: 0.5000 0.5000 0.0000
O: 0.6362 0.8638 0.2460
O: 0.6362 0.8638 0.7540
O: 0.8638 0.3638 0.2460
O: 0.8638 0.3638 0.7540

Peak list (12 most intense, 15° ≤ 2θ ≤ 90°, by angle)
two_theta  d (Å)  Rel. int.
18.3  4.841  362
29.2  3.062  153
30.4  2.940  1000
31.2  2.870  335
33.2  2.701  387
37.1  2.420  247
43.2  2.094  282
44.7  2.026  285
49.2  1.850  216
55.0  1.670  191
57.8  1.595  114
65.0  1.434  154

(2)
Simulated X-ray powder pattern
Compound: NdCu2SeO2
Radiation: Cu Kα (weighted mean of Kα1 and Kα2)
Structure: the PBE geometry in Alexandria
No peak broadening, texture or thermal motion is included.

Crystal structure
Cell: 5.9682 5.5860 6.6698 Å, 90.00 116.37 90.00°
Fractional positions:
Nd: 0.1089 0.2500 0.2157
Nd: 0.8911 0.7500 0.7843
Cu: 0.1704 0.2500 0.7770
Cu: 0.3928 0.7500 0.2189
Cu: 0.6072 0.2500 0.7811
Cu: 0.8296 0.7500 0.2230
Se: 0.2582 0.7500 0.5132
Se: 0.7418 0.2500 0.4868
O: 0.2321 0.0000 0.9981
O: 0.2321 0.5000 0.9981
O: 0.7679 0.0000 0.0019
O: 0.7679 0.5000 0.0019

Peak list (12 most intense, 15° ≤ 2θ ≤ 90°, by angle)
two_theta  d (Å)  Rel. int.
16.6  5.339  361
29.9  2.987  134
31.4  2.850  1000
32.0  2.793  472
37.3  2.409  857
43.9  2.062  108
44.4  2.040  216
56.7  1.623  298
57.4  1.606  103
60.6  1.527  238
62.2  1.493  128
71.7  1.317  120

(3)
Simulated X-ray powder pattern
Compound: SrNd2Cu2O6
Radiation: Cu Kα (weighted mean of Kα1 and Kα2)
Structure: the PBE geometry in Alexandria
No peak broadening, texture or thermal motion is included.

Crystal structure
Cell: 10.2801 10.2801 10.2801 Å, 158.38 158.38 30.76°
Fractional positions:
Sr: 0.0000 0.0000 0.0000
Nd: 0.6389 0.6389 0.0000
Nd: 0.8194 0.8194 0.0000
Cu: 0.2305 0.2305 0.0000
Cu: 0.4090 0.4090 0.0000
O: 0.1213 0.1213 0.0000
O: 0.2360 0.7360 0.5000
O: 0.3947 0.8947 0.5000
O: 0.5265 0.5265 0.0000
O: 0.7360 0.2360 0.5000
O: 0.8947 0.3947 0.5000

Peak list (12 most intense, 15° ≤ 2θ ≤ 90°, by angle)
two_theta  d (Å)  Rel. int.
23.5  3.784  188
32.4  2.764  1000
32.9  2.726  596
39.5  2.282  201
43.0  2.103  193
47.1  1.928  339
57.5  1.603  123
58.4  1.581  372
63.1  1.473  93
67.8  1.382  84
68.9  1.363  101
78.4  1.219  96

(4)
Simulated X-ray powder pattern
Compound: SrNdCuO4
Radiation: Cu Kα (weighted mean of Kα1 and Kα2)
Structure: the PBE geometry in Alexandria
No peak broadening, texture or thermal motion is included.

Crystal structure
Cell: 6.7770 6.7770 6.7770 Å, 146.99 146.99 47.37°
Fractional positions:
Sr: 0.0000 0.0000 0.0000
Nd: 0.7213 0.7213 0.0000
Cu: 0.3605 0.3605 0.0000
O: 0.1957 0.1957 0.0000
O: 0.3508 0.8508 0.5000
O: 0.5331 0.5331 0.0000
O: 0.8508 0.3508 0.5000

Peak list (12 most intense, 15° ≤ 2θ ≤ 90°, by angle)
two_theta  d (Å)  Rel. int.
24.2  3.677  198
31.7  2.819  1000
32.9  2.723  726
43.4  2.086  214
43.8  2.069  113
44.3  2.047  263
47.2  1.925  374
55.8  1.647  138
58.0  1.590  369
66.0  1.415  113
66.3  1.409  117
78.6  1.218  113

> Which formula does entry 4 have?

SrNdCuO4